Theoretical XRD peak list
Compound: ThB11
Radiation: copper Kα
Structure: a DFT-relaxed cell (GGA-PBE, Alexandria)
No peak broadening, texture or thermal motion is included.

Principal peaks in the range 5 to 70 degrees two-theta, low angle first:
- d = 5.348 Å, intensity 100, hkl 2 0 0
- d = 5.047 Å, intensity 44, hkl 2 0 -1
- d = 3.152 Å, intensity 17, hkl 2 0 1
- d = 2.975 Å, intensity 16, hkl 4 0 -1
- d = 2.962 Å, intensity 18, hkl 2 0 -2
- d = 2.790 Å, intensity 61, hkl 2 2 0
- d = 2.744 Å, intensity 27, hkl 2 2 -1
- d = 2.667 Å, intensity 16, hkl 0 0 2
- d = 2.270 Å, intensity 17, hkl 2 2 1
- d = 2.201 Å, intensity 17, hkl 4 2 -1

Crystal structure
```
data_ThB11
_cell_length_a 11.9304
_cell_length_b 6.5404
_cell_length_c 5.9364
_cell_angle_alpha 90.00
_cell_angle_beta 116.02
_cell_angle_gamma 90.00
_space_group_name_H-M_alt 'C 1 m 1'
_space_group_IT_number 8
loop_
_space_group_symop_operation_xyz
'x,y,z'
'x,-y,z'
'x+1/2,y+1/2,z'
'x+1/2,-y+1/2,z'
loop_
_atom_site_label
_atom_site_fract_x
_atom_site_fract_y
_atom_site_fract_z
Th1 0.0000 0.0000 0.0000
Th2 0.0024 0.5000 0.9964
B1 0.0016 0.2504 0.4923
B2 0.0024 0.5000 0.4524
B3 0.0075 0.0000 0.5273
B4 0.1359 0.3600 0.4908
B5 0.1543 0.1433 0.7394
B6 0.1868 0.2732 0.0136
B7 0.2133 0.2472 0.3224
B8 0.2483 0.5000 0.9552
B9 0.2647 0.0000 0.4380
B10 0.2860 0.2219 0.6531
B11 0.3121 0.2512 0.9656
B12 0.3520 0.1404 0.2625
B13 0.3719 0.3621 0.5116
```



Theoretical XRD peak list
Compound: Ce4Ag5Sb7
Radiation: copper Kα
Structure: a DFT-relaxed cell (GGA-PBE, Alexandria)
No peak broadening, texture or thermal motion is included.

Principal peaks in the range 5 to 70 degrees two-theta, low angle first:
- d = 3.352 Å, intensity 12, hkl 1 1 4
- d = 2.666 Å, intensity 100, hkl 2 0 4
- d = 2.591 Å, intensity 14, hkl 0 0 8
- d = 2.232 Å, intensity 9, hkl 1 1 8
- d = 2.198 Å, intensity 34, hkl 2 2 0
- d = 1.875 Å, intensity 5, hkl 1 1 10
- d = 1.676 Å, intensity 15, hkl 2 2 8
- d = 1.566 Å, intensity 6, hkl 3 1 8
- d = 1.554 Å, intensity 11, hkl 4 0 0
- d = 1.510 Å, intensity 6, hkl 2 0 12

Crystal structure
```
data_Ce4Ag5Sb7
_cell_length_a 6.2167
_cell_length_b 6.2167
_cell_length_c 20.7288
_cell_angle_alpha 90.00
_cell_angle_beta 90.00
_cell_angle_gamma 90.00
_space_group_name_H-M_alt 'I -4 2 m'
_space_group_IT_number 121
_space_group_name_Hall 'I -4 2'
loop_
_atom_site_label
_atom_site_fract_x
_atom_site_fract_y
_atom_site_fract_z
Ce1 0.2446 0.2446 0.1175
Ag1 0.0000 0.0000 0.2487
Ag2 0.0000 0.0000 0.5000
Ag3 0.0000 0.5000 0.2500
Sb1 0.0000 0.0000 0.0000
Sb2 0.0000 0.5000 0.0000
Sb3 0.2452 0.2452 0.3429
```



Theoretical XRD peak list
Compound: Y7HoO12
Radiation: copper Kα
Structure: a DFT-relaxed cell (GGA-PBE, Alexandria)
No peak broadening, texture or thermal motion is included.

Principal peaks in the range 5 to 70 degrees two-theta, low angle first:
- d = 4.364 Å, intensity 14, hkl 1 2 1
- d = 3.086 Å, intensity 100, hkl 2 2 2
- d = 2.673 Å, intensity 27, hkl 4 0 0
- d = 2.520 Å, intensity 7, hkl 1 4 1
- d = 2.279 Å, intensity 6, hkl 3 2 3
- d = 2.097 Å, intensity 10, hkl 1 4 3
- d = 1.890 Å, intensity 42, hkl 4 0 4
- d = 1.734 Å, intensity 6, hkl 1 6 1
- d = 1.612 Å, intensity 30, hkl 6 2 2
- d = 1.576 Å, intensity 7, hkl 1 6 3

Crystal structure
```
data_Y7HoO12
_cell_length_a 10.6895
_cell_length_b 10.6901
_cell_length_c 10.6911
_cell_angle_alpha 90.00
_cell_angle_beta 90.00
_cell_angle_gamma 90.00
_space_group_name_H-M_alt 'I 21 21 21'
_space_group_IT_number 24
loop_
_space_group_symop_operation_xyz
'x,y,z'
'-x,-y+1/2,z'
'x,-y,-z+1/2'
'-x,y+1/2,-z+1/2'
'x+1/2,y+1/2,z+1/2'
'-x+1/2,-y,z+1/2'
'x+1/2,-y+1/2,-z'
'-x+1/2,y,-z'
loop_
_atom_site_label
_atom_site_fract_x
_atom_site_fract_y
_atom_site_fract_z
Y1 0.0001 0.0005 0.9997
Y2 0.0000 0.2500 0.2169
Y3 0.0000 0.2500 0.7177
Y4 0.2173 0.0000 0.2500
Y5 0.2177 0.5000 0.7500
Y6 0.2500 0.2173 0.5000
Ho1 0.2500 0.2828 0.0000
O1 0.0981 0.1407 0.3701
O2 0.0996 0.3582 0.8708
O3 0.1297 0.0983 0.6411
O4 0.1300 0.4013 0.1403
O5 0.1409 0.3703 0.5985
O6 0.1417 0.1305 0.0977
```



Theoretical XRD peak list
Compound: Pm2Nd3In7
Radiation: copper Kα
Structure: a DFT-relaxed cell (GGA-PBE, Alexandria)
No peak broadening, texture or thermal motion is included.

Principal peaks in the range 5 to 70 degrees two-theta, low angle first:
- d = 12.623 Å, intensity 8, hkl 0 2 0
- d = 3.642 Å, intensity 6, hkl 1 5 0
- d = 3.469 Å, intensity 7, hkl 1 3 1
- d = 3.040 Å, intensity 13, hkl 1 5 1
- d = 2.759 Å, intensity 33, hkl 0 0 2
- d = 2.629 Å, intensity 29, hkl 2 0 0
- d = 2.618 Å, intensity 100, hkl 1 7 1
- d = 1.904 Å, intensity 22, hkl 2 0 2
- d = 1.565 Å, intensity 20, hkl 1 7 3
- d = 1.516 Å, intensity 18, hkl 3 7 1

Crystal structure
```
data_Pm2Nd3In7
_cell_length_a 5.2589
_cell_length_b 25.2462
_cell_length_c 5.5187
_cell_angle_alpha 90.00
_cell_angle_beta 90.00
_cell_angle_gamma 90.00
_space_group_name_H-M_alt 'C m m m'
_space_group_IT_number 65
_space_group_name_Hall '-C 2 2'
loop_
_atom_site_label
_atom_site_fract_x
_atom_site_fract_y
_atom_site_fract_z
Pm1 0.0000 0.1438 0.0000
Nd1 0.0000 0.3433 0.5000
Nd2 0.0000 0.5000 0.5000
In1 0.0000 0.0000 0.0000
In2 0.0000 0.0776 0.5000
In3 0.0000 0.2740 0.0000
In4 0.0000 0.4279 0.0000
```